[1]
# CdAg3Br6
Computed powder diffractogram, Cu Kα. Input: a GGA-PBE-relaxed structure.
Lines closer than 0.1° are merged.

Atomic structure:
Cell lengths 7.0726, 7.0726, 19.6678 Å; angles 90.00, 90.00, 120.00 degrees
Space group R3 (No. 146, hexagonal axes)
One atom of each set of equivalent atoms:
Cd1 0.0000 0.0000 0.0000 x3
Ag1 0.0000 0.0000 0.1839 x3
Ag2 0.0000 0.0000 0.3602 x3
Ag3 0.0000 0.0000 0.6816 x3
Br1 0.0125 0.3350 0.2656 x9
Br2 0.0271 0.6793 0.7595 x9

Largest 6 diffraction maxima, sorted by position, 10° ≤ 2θ ≤ 80°:
| d_spacing | Rel. int. |
| --- | --- |
| 6.556 | 28 |
| 3.112 | 100 |
| 2.404 | 98 |
| 2.042 | 57 |
| 1.859 | 21 |
| 1.556 | 23 |

=====

[2]
# Rb4NdBr6
Computed powder diffractogram, Cu Kα. Input: a GGA-PBE-relaxed structure.
Lines closer than 0.1° are merged.

Atomic structure:
Cell lengths 9.5973, 9.5973, 9.8424 Å; angles 90.00, 90.00, 90.00 degrees
Space group P4/mnc (No. 128)
One atom of each set of equivalent atoms:
Rb1 0.1703 0.3297 0.2500 x8
Nd1 0.0000 0.0000 0.0000 x2
Br1 0.0000 0.0000 0.2961 x4
Br2 0.0978 0.6977 0.0000 x8

Largest 6 diffraction maxima, sorted by position, 10° ≤ 2θ ≤ 80°:
| d_spacing | Rel. int. |
| --- | --- |
| 6.871 | 44 |
| 3.235 | 100 |
| 3.104 | 26 |
| 3.036 | 79 |
| 2.461 | 22 |
| 1.911 | 26 |